Simulated X-ray diffraction stick pattern
Compound: Li4MnCo2O7
Radiation: Cu Kα (λ = 1.5418 Å)
Structure: a cell relaxed with GGA+U
Intensities are scaled so that the largest is 100.

Peak list (10 most intense, 10° ≤ 2θ ≤ 80°, most intense first)
d/Å	two_theta	Rel. int.	index
4.844	18.32	100	1 1 1
2.088	43.33	28	1 0 3
2.082	43.46	28	0 3 1
2.062	43.91	28	3 1 0
2.502	35.89	27	1 -2 0
1.459	63.81	15	2 1 -3
2.480	36.22	13	2 0 -1
1.912	47.55	9	3 0 2
1.469	63.33	8	1 -3 2
1.480	62.77	8	1 3 4

Atomic structure:
```
data_Li4MnCo2O7
_cell_length_a 6.5550
_cell_length_b 6.5942
_cell_length_c 6.6179
_cell_angle_alpha 71.94
_cell_angle_beta 71.57
_cell_angle_gamma 72.19
_space_group_name_H-M_alt 'P 1'
_space_group_IT_number 1
_space_group_name_Hall 'P 1'
loop_
_atom_site_label
_atom_site_fract_x
_atom_site_fract_y
_atom_site_fract_z
_atom_site_occupancy
Li1 0.0000 0.0000 0.0000 1
Li2 0.0658 0.7876 0.6547 1
Li3 0.1370 0.5750 0.2935 1
Li4 0.2755 0.1383 0.5851 1
Li5 0.4189 0.7234 0.8543 1
Li6 0.5653 0.2845 0.1537 1
Li7 0.7105 0.8609 0.4406 1
Li8 0.8555 0.4322 0.7233 1
Mn1 0.4914 0.5041 0.5098 1
Mn2 0.7840 0.6453 0.0724 1
Co1 0.2072 0.3658 0.9316 1
Co2 0.3472 0.9316 0.2284 1
Co3 0.6478 0.0693 0.7894 1
Co4 0.9284 0.2044 0.3678 1
O1 0.0381 0.9165 0.3223 1
O2 0.0785 0.6723 0.9830 1
O3 0.1967 0.4618 0.6205 1
O4 0.2438 0.2508 0.2400 1
O5 0.3312 0.0450 0.9057 1
O6 0.3986 0.8018 0.5316 1
O7 0.4708 0.6074 0.2032 1
O8 0.5243 0.4014 0.8058 1
O9 0.6029 0.1945 0.4775 1
O10 0.6685 0.9469 0.1135 1
O11 0.7422 0.7497 0.7835 1
O12 0.8036 0.5278 0.3853 1
O13 0.8842 0.3452 0.0451 1
O14 0.9413 0.1160 0.6828 1
```

Simulated X-ray diffraction stick pattern
Compound: Li7Mn2Co3O12
Radiation: Cu Kα (λ = 1.5418 Å)
Structure: a cell relaxed with GGA+U
Intensities are scaled so that the largest is 100.

Peak list (10 most intense, 10° ≤ 2θ ≤ 80°, most intense first)
d/Å	two_theta	Rel. int.	index
4.840	18.33	100	0 0 2
2.109	42.88	60	3 1 2
2.525	35.55	29	3 1 0
2.012	45.05	25	6 0 -4
1.491	62.26	16	0 2 0
1.466	63.44	14	3 1 -6
1.446	64.44	14	9 1 -2
2.429	37.01	10	6 0 -2
1.626	56.60	10	3 1 4
6.750	13.12	9	2 0 -1

Atomic structure:
```
data_Li7Mn2Co3O12
_cell_length_a 14.8897
_cell_length_b 2.9817
_cell_length_c 10.1172
_cell_angle_alpha 90.00
_cell_angle_beta 106.91
_cell_angle_gamma 90.00
_space_group_name_H-M_alt 'C 1 2/m 1'
_space_group_IT_number 12
_space_group_name_Hall '-C 2y'
loop_
_atom_site_label
_atom_site_fract_x
_atom_site_fract_y
_atom_site_fract_z
_atom_site_occupancy
Li1 0.0000 0.0000 0.0000 1
Li2 0.0036 0.5000 0.7656 1
Li3 0.1639 0.0000 0.2371 1
Li4 0.1718 0.0000 0.7634 1
Mn1 0.1631 0.5000 0.4948 1
Co1 0.0000 0.0000 0.5000 1
Co2 0.1600 0.5000 0.9978 1
O1 0.0759 0.5000 0.6025 1
O2 0.0830 0.0000 0.3839 1
O3 0.0885 0.0000 0.8812 1
O4 0.0940 0.5000 0.1177 1
O5 0.2472 0.0000 0.6118 1
O6 0.2475 0.5000 0.8903 1
```

Simulated X-ray diffraction stick pattern
Compound: Li7Mn2Co3O12
Radiation: Cu Kα (λ = 1.5418 Å)
Structure: a cell relaxed with GGA+U
Intensities are scaled so that the largest is 100.

Peak list (10 most intense, 10° ≤ 2θ ≤ 80°, most intense first)
d/Å	two_theta	Rel. int.	index
4.851	18.29	100	0 0 3
2.094	43.21	27	-1 1 4
2.108	42.89	27	0 2 -4
2.040	44.40	25	1 1 4
2.539	35.35	14	0 2 -1
1.482	62.68	14	0 2 8
2.505	35.84	12	-1 1 1
2.452	36.65	11	1 1 1
7.276	12.17	9	0 0 2
1.488	62.39	7	1 -3 0

Atomic structure:
```
data_Li7Mn2Co3O12
_cell_length_a 2.8845
_cell_length_b 5.1533
_cell_length_c 14.5536
_cell_angle_alpha 90.33
_cell_angle_beta 91.01
_cell_angle_gamma 91.12
_space_group_name_H-M_alt 'P 1'
_space_group_IT_number 1
_space_group_name_Hall 'P 1'
loop_
_atom_site_label
_atom_site_fract_x
_atom_site_fract_y
_atom_site_fract_z
_atom_site_occupancy
Li1 0.0000 0.0000 0.0000 1
Li2 0.0008 0.6586 0.3445 1
Li3 0.0073 0.9999 0.5059 1
Li4 0.0168 0.3462 0.6653 1
Li5 0.4940 0.1357 0.3589 1
Li6 0.5049 0.4993 0.9975 1
Li7 0.5110 0.8615 0.6599 1
Mn1 0.5044 0.8342 0.1706 1
Mn2 0.5090 0.5018 0.5039 1
Co1 0.0039 0.3327 0.1715 1
Co2 0.0074 0.6717 0.8352 1
Co3 0.5078 0.1706 0.8355 1
O1 0.0152 0.9748 0.2457 1
O2 0.0190 0.6533 0.5771 1
O3 0.0277 0.0101 0.7596 1
O4 0.4884 0.8312 0.9142 1
O5 0.5015 0.1516 0.0984 1
O6 0.5072 0.5182 0.2401 1
O7 0.5083 0.2031 0.5809 1
O8 0.5100 0.8014 0.4263 1
O9 0.5270 0.5100 0.7619 1
O10 0.9897 0.3299 0.9155 1
O11 0.9943 0.6931 0.0947 1
O12 0.9995 0.3469 0.4286 1
```

Simulated X-ray diffraction stick pattern
Compound: Li7Mn2Co3O12
Radiation: Cu Kα (λ = 1.5418 Å)
Structure: a cell relaxed with GGA+U
Intensities are scaled so that the largest is 100.

Peak list (10 most intense, 10° ≤ 2θ ≤ 80°, most intense first)
d/Å	two_theta	Rel. int.	index
4.846	18.31	100	0 1 -1
2.169	41.64	33	1 2 1
2.058	44.00	28	-1 2 1
2.027	44.71	26	0 0 6
2.585	34.71	18	1 1 2
2.477	36.27	12	-1 1 2
2.451	36.66	11	0 1 5
5.808	15.25	11	0 1 1
1.434	65.06	9	-1 2 7
1.497	62.01	8	0 4 2

Atomic structure:
```
data_Li7Mn2Co3O12
_cell_length_a 2.9830
_cell_length_b 5.9954
_cell_length_c 12.4913
_cell_angle_alpha 76.83
_cell_angle_beta 88.79
_cell_angle_gamma 87.00
_space_group_name_H-M_alt 'P 1'
_space_group_IT_number 1
_space_group_name_Hall 'P 1'
loop_
_atom_site_label
_atom_site_fract_x
_atom_site_fract_y
_atom_site_fract_z
_atom_site_occupancy
Li1 0.0000 0.0000 0.0000 1
Li2 0.0005 0.6756 0.6612 1
Li3 0.4969 0.1678 0.1551 1
Li4 0.5005 0.8393 0.8312 1
Li5 0.5037 0.5145 0.4946 1
Li6 0.5101 0.6898 0.1565 1
Li7 0.9942 0.3520 0.3208 1
Mn1 0.0052 0.8416 0.3208 1
Mn2 0.9886 0.1788 0.6614 1
Co1 0.0070 0.5149 0.0018 1
Co2 0.4900 0.0044 0.4961 1
Co3 0.5014 0.3440 0.8299 1
O1 0.0014 0.4305 0.1440 1
O2 0.0058 0.9233 0.1719 1
O3 0.0069 0.7772 0.4863 1
O4 0.0309 0.5714 0.8409 1
O5 0.4541 0.9329 0.6547 1
O6 0.4723 0.2784 0.9853 1
O7 0.4867 0.0654 0.3313 1
O8 0.5227 0.6255 0.3277 1
O9 0.5302 0.4190 0.6688 1
O10 0.5368 0.7388 0.9931 1
O11 0.9711 0.1101 0.8215 1
O12 0.9723 0.2420 0.4975 1
```

Simulated X-ray diffraction stick pattern
Compound: Li3MnCoO5
Radiation: Cu Kα (λ = 1.5418 Å)
Structure: a cell relaxed with GGA+U
Intensities are scaled so that the largest is 100.

Peak list (10 most intense, 10° ≤ 2θ ≤ 80°, most intense first)
d/Å	two_theta	Rel. int.	index
4.836	18.35	100	0 1 1
2.227	40.50	40	1 2 0
2.044	44.31	29	1 -3 0
2.011	45.08	26	0 1 -4
2.650	33.82	21	1 1 -1
2.438	36.86	13	0 2 -3
6.241	14.19	13	0 1 -1
2.470	36.37	12	1 -2 1
1.511	61.37	9	2 -1 0
1.502	61.78	9	0 5 0

Atomic structure:
```
data_Li3MnCoO5
_cell_length_a 3.0326
_cell_length_b 7.8001
_cell_length_c 8.0457
_cell_angle_alpha 104.28
_cell_angle_beta 90.87
_cell_angle_gamma 96.19
_space_group_name_H-M_alt 'P -1'
_space_group_IT_number 2
_space_group_name_Hall '-P 1'
loop_
_atom_site_label
_atom_site_fract_x
_atom_site_fract_y
_atom_site_fract_z
_atom_site_occupancy
Li1 0.0000 0.0000 0.0000 1
Li2 0.0000 0.0000 0.5000 1
Li3 0.1975 0.3981 0.0950 1
Li4 0.4037 0.8069 0.7084 1
Mn1 0.1962 0.3975 0.6027 1
Co1 0.4101 0.8108 0.1915 1
O1 0.0151 0.9853 0.2461 1
O2 0.1747 0.4034 0.3597 1
O3 0.2164 0.3868 0.8395 1
O4 0.3923 0.7965 0.9728 1
O5 0.4182 0.7936 0.4280 1
```

Simulated X-ray diffraction stick pattern
Compound: Li7Mn2Co3O12
Radiation: Cu Kα (λ = 1.5418 Å)
Structure: a cell relaxed with GGA+U
Intensities are scaled so that the largest is 100.

Peak list (10 most intense, 10° ≤ 2θ ≤ 80°, most intense first)
d/Å	two_theta	Rel. int.	index
4.861	18.25	100	0 0 6
2.098	43.12	90	0 1 8
2.526	35.54	43	0 1 2
1.481	62.75	25	1 1 0
1.486	62.51	24	1 0 16
1.617	56.94	15	0 1 14
1.417	65.94	15	1 1 6
1.926	47.19	14	1 0 10
2.419	37.16	12	1 0 4
1.210	79.18	11	2 0 8

Atomic structure:
```
data_Li7Mn2Co3O12
_cell_length_a 2.9616
_cell_length_b 2.9616
_cell_length_c 29.1668
_cell_angle_alpha 90.00
_cell_angle_beta 90.00
_cell_angle_gamma 120.00
_space_group_name_H-M_alt 'P 3 m 1'
_space_group_IT_number 156
_space_group_name_Hall 'P 3 -2"'
loop_
_atom_site_label
_atom_site_fract_x
_atom_site_fract_y
_atom_site_fract_z
_atom_site_occupancy
Li1 0.0000 0.0000 0.0000 1
Li2 0.0000 0.0000 0.2483 1
Li3 0.0000 0.0000 0.7460 1
Li4 0.3333 0.6667 0.4131 1
Li5 0.3333 0.6667 0.9266 1
Li6 0.6667 0.3333 0.0806 1
Li7 0.6667 0.3333 0.5878 1
Mn1 0.0000 0.0000 0.5000 1
Mn2 0.6667 0.3333 0.8338 1
Co1 0.3333 0.6667 0.1671 1
Co2 0.3333 0.6667 0.6670 1
Co3 0.6667 0.3333 0.3333 1
O1 0.0000 0.0000 0.1308 1
O2 0.0000 0.0000 0.3711 1
O3 0.0000 0.0000 0.6300 1
O4 0.0000 0.0000 0.8689 1
O5 0.3333 0.6667 0.0414 1
O6 0.3333 0.6667 0.2983 1
O7 0.3333 0.6667 0.5378 1
O8 0.3333 0.6667 0.7957 1
O9 0.6667 0.3333 0.2057 1
O10 0.6667 0.3333 0.4621 1
O11 0.6667 0.3333 0.7042 1
O12 0.6667 0.3333 0.9586 1
```

Simulated X-ray diffraction stick pattern
Compound: Li7Mn2Co3O12
Radiation: Cu Kα (λ = 1.5418 Å)
Structure: a cell relaxed with GGA+U
Intensities are scaled so that the largest is 100.

Peak list (10 most intense, 10° ≤ 2θ ≤ 80°, most intense first)
d/Å	two_theta	Rel. int.	index
4.817	18.42	100	1 0 0
2.049	44.20	55	1 2 -2
2.114	42.77	31	-2 2 1
1.471	63.21	15	1 -4 1
2.531	35.47	14	-1 2 1
2.470	36.37	13	0 2 -2
2.465	36.45	12	0 0 3
7.394	11.97	8	0 0 1
1.478	62.87	8	3 -2 2
1.465	63.50	8	-1 2 4

Atomic structure:
```
data_Li7Mn2Co3O12
_cell_length_a 5.1539
_cell_length_b 5.8836
_cell_length_c 7.6319
_cell_angle_alpha 99.94
_cell_angle_beta 96.58
_cell_angle_gamma 108.15
_space_group_name_H-M_alt 'P 1'
_space_group_IT_number 1
_space_group_name_Hall 'P 1'
loop_
_atom_site_label
_atom_site_fract_x
_atom_site_fract_y
_atom_site_fract_z
_atom_site_occupancy
Li1 0.0000 0.0000 0.0000 1
Li2 0.9995 0.3273 0.3273 1
Li3 0.0015 0.8376 0.3259 1
Li4 0.0061 0.5070 0.0029 1
Li5 0.0082 0.1614 0.6627 1
Li6 0.0087 0.6704 0.6609 1
Li7 0.5046 0.9156 0.1619 1
Mn1 0.5022 0.4188 0.1601 1
Mn2 0.5040 0.5915 0.8302 1
Co1 0.4999 0.2402 0.4877 1
Co2 0.5025 0.0818 0.8300 1
Co3 0.5107 0.7566 0.4875 1
O1 0.2680 0.3195 0.9218 1
O2 0.2734 0.1453 0.2525 1
O3 0.2780 0.6091 0.2470 1
O4 0.2801 0.9622 0.5891 1
O5 0.2830 0.4723 0.5897 1
O6 0.2884 0.7924 0.9004 1
O7 0.7097 0.3707 0.7452 1
O8 0.7133 0.2147 0.0679 1
O9 0.7308 0.6876 0.0698 1
O10 0.7372 0.5310 0.3955 1
O11 0.7448 0.0369 0.4264 1
O12 0.7464 0.8547 0.7506 1
```

Simulated X-ray diffraction stick pattern
Compound: Li3MnCoO5
Radiation: Cu Kα (λ = 1.5418 Å)
Structure: a cell relaxed with GGA+U
Intensities are scaled so that the largest is 100.

Peak list (10 most intense, 10° ≤ 2θ ≤ 80°, most intense first)
d/Å	two_theta	Rel. int.	index
4.890	18.14	100	2 0 -1
2.086	43.38	58	7 1 -1
2.111	42.84	27	6 0 2
2.504	35.87	26	5 1 0
1.490	62.31	15	1 1 -3
1.478	62.90	13	13 1 1
1.925	47.22	12	12 0 -1
2.533	35.45	11	8 0 1
1.614	57.06	9	9 1 -2
6.044	14.66	9	4 0 0

Atomic structure:
```
data_Li3MnCoO5
_cell_length_a 24.2368
_cell_length_b 2.9266
_cell_length_c 5.1936
_cell_angle_alpha 90.00
_cell_angle_beta 94.10
_cell_angle_gamma 90.00
_space_group_name_H-M_alt 'C 1 m 1'
_space_group_IT_number 8
_space_group_name_Hall 'C -2y'
loop_
_atom_site_label
_atom_site_fract_x
_atom_site_fract_y
_atom_site_fract_z
_atom_site_occupancy
Li1 0.0000 0.0000 0.0000 1
Li2 0.0102 0.5000 0.5088 1
Li3 0.1027 0.5000 0.2226 1
Li4 0.2133 0.0000 0.4042 1
Li5 0.3197 0.5000 0.6285 1
Li6 0.4132 0.0000 0.8253 1
Mn1 0.1084 0.0000 0.7083 1
Mn2 0.2112 0.5000 0.9131 1
Co1 0.3166 0.0000 0.1370 1
Co2 0.4197 0.5000 0.3394 1
O1 0.0685 0.0000 0.4029 1
O2 0.0693 0.5000 0.8526 1
O3 0.1591 0.5000 0.5992 1
O4 0.1653 0.0000 0.0339 1
O5 0.2536 0.0000 0.7786 1
O6 0.2568 0.5000 0.2243 1
O7 0.3560 0.5000 0.9789 1
O8 0.3577 0.0000 0.4467 1
O9 0.4570 0.5000 0.6499 1
O10 0.4585 0.0000 0.1697 1
```